Starting from a crystal structure in Alexandria, relaxed with GGA-PBE, the powder diffractogram of AcLa3DyTm was simulated for Cu Kα (λ = 1.5418 Å).
Intensities are scaled so that the largest is 100.

Structure:
Lattice parameters (Å, degrees): 8.1882 5.2999 10.5947 90.00 108.95 90.00
Space group P2_1/m (No. 11)
Inequivalent atoms, fractional coordinates:
Ac 0.1740 0.2500 0.2939 [2 per cell]
La 0.1732 0.7500 0.0408 [2 per cell]
La 0.1730 0.7500 0.5455 [2 per cell]
La 0.1755 0.2500 0.7932 [2 per cell]
Dy 0.4983 0.7500 0.8764 [2 per cell]
Tm 0.4983 0.2500 0.6266 [2 per cell]

Top 10 peaks for 10 to 90 degrees two-theta, in order of falling intensity:
two_theta	d (Å)	intensity	(hkl)
29.46	3.032	100	1 1 2
57.86	1.594	30	1 3 2
49.27	1.849	18	3 2 0
33.83	2.650	17	0 2 0
33.84	2.649	17	1 0 -4
34.75	2.581	16	3 0 0
59.07	1.564	14	4 1 2
48.60	1.873	13	1 2 -4
61.12	1.516	13	2 2 4
79.88	1.201	9	4 3 2